Starting from the PBE geometry in Alexandria, the powder XRD pattern of Pt3PbO6 was simulated for Cu Kα.
Peak positions follow from Bragg's law for the DFT cell and can differ from measured ones.

Main lines, by intensity (2θ from 10° to 80°):
Position (°2θ), I/Imax
29.72, 100
31.34, 93
50.57, 56
35.92, 50
59.84, 30
34.37, 28
62.66, 25
58.72, 16
59.68, 15
49.59, 14

Atomic structure:
Cell: 6.384 6.384 3.409 Å, 90.00 90.00 109.66°
Atoms (fractional coordinates):
Pt  0.000  0.000  0.000
Pt  0.000  0.500  0.500
Pt  0.500  0.000  0.500
Pb  0.500  0.500  0.000
O  0.064  0.331  0.000
O  0.331  0.064  0.000
O  0.331  0.669  0.500
O  0.669  0.331  0.500
O  0.669  0.936  0.000
O  0.936  0.669  0.000